TbSm3Tl4Te8: calculated powder X-ray diffraction pattern (CuKα), based on DFT lattice parameters and positions (GGA-PBE).
Lines closer than 0.1° are merged.

Main lines, in order of rising 2θ (2θ from 10° to 90°):
27.06 deg, intensity 100.0
37.26 deg, intensity 39.1
39.99 deg, intensity 36.5
44.25 deg, intensity 6.9
48.95 deg, intensity 19.8
55.80 deg, intensity 12.2
61.16 deg, intensity 15.8
64.99 deg, intensity 16.9
70.84 deg, intensity 11.9
72.64 deg, intensity 6.3

Atomic structure:
a = 9.7021 Å, b = 9.7021 Å, c = 9.7021 Å
α = 55.39°, β = 55.39°, γ = 55.39°
Fractional coordinates of all 16 atoms:
Tb  0.0000  0.0000  0.0000
Sm  0.0000  0.5000  0.5000
Sm  0.5000  0.0000  0.5000
Sm  0.5000  0.5000  0.0000
Tl  0.0000  0.0000  0.5000
Tl  0.0000  0.5000  0.0000
Tl  0.5000  0.0000  0.0000
Tl  0.5000  0.5000  0.5000
Te  0.2371  0.2371  0.7423
Te  0.2371  0.7423  0.2371
Te  0.2577  0.7629  0.7629
Te  0.2605  0.2605  0.2605
Te  0.7395  0.7395  0.7395
Te  0.7423  0.2371  0.2371
Te  0.7629  0.2577  0.7629
Te  0.7629  0.7629  0.2577